# Dy2Mn12Ga5
Simulated XRD peak list, copper Kα. Input: a cell relaxed with PBE.
Lines closer than 0.1° are merged.

Largest 6 diffraction maxima, sorted by position, 10° ≤ 2θ ≤ 90°:
d_spacing, 2theta, I (rel.)
3.091, 28.9, 36.5
2.520, 35.6, 38.7
2.299, 39.2, 29.5
2.199, 41.1, 100.0
2.180, 41.4, 88.1
2.173, 41.6, 66.9

```
Dy2Mn12Ga5
1.0
4.347 -7.647 0.000
4.347 7.647 0.000
0.000 0.000 8.688
Dy Mn Ga
4 24 10
direct
0.001 0.999 0.750
0.339 0.661 0.250
0.661 0.339 0.750
0.999 0.001 0.250
0.028 0.357 0.750
0.030 0.671 0.750
0.155 0.317 0.018
0.155 0.317 0.482
0.157 0.843 0.015
0.157 0.843 0.485
0.317 0.155 0.518
0.317 0.155 0.982
0.321 0.359 0.750
0.329 0.970 0.750
0.357 0.028 0.250
0.359 0.321 0.250
0.641 0.679 0.750
0.643 0.972 0.750
0.671 0.030 0.250
0.679 0.641 0.250
0.683 0.845 0.018
0.683 0.845 0.482
0.843 0.157 0.515
0.843 0.157 0.985
0.845 0.683 0.518
0.845 0.683 0.982
0.970 0.329 0.250
0.972 0.643 0.250
0.000 0.500 0.000
0.000 0.500 0.500
0.333 0.667 0.607
0.333 0.667 0.893
0.500 0.000 0.000
0.500 0.000 0.500
0.500 0.500 0.000
0.500 0.500 0.500
0.667 0.333 0.107
0.667 0.333 0.393
```